Diffraction record for TbPuHgPb. The powder diffraction line list is computed, not measured: it uses the GGA-PBE geometry in Alexandria and CuKα.
Kinematic intensities with the Lorentz-polarization factor, no thermal factor.

Peak list (9 most intense, 2θ from 10° to 90°, low angle first)
hkl, 2theta, I/Imax
1 1 1, 20.20, 1.9
2 2 0, 33.27, 100.0
3 1 1, 39.23, 1.2
4 0 0, 47.77, 18.6
3 3 1, 52.36, 0.6
4 2 2, 59.46, 39.0
4 4 0, 69.86, 12.2
6 2 0, 79.61, 17.3
4 4 4, 89.06, 4.6

Crystal structure
Cell: 7.616 7.616 7.616 Å, 90.00 90.00 90.00°
Sites, in units of the cell vectors:
Tb 0.000 0.000 0.000
Tb 0.000 0.500 0.500
Tb 0.500 0.000 0.500
Tb 0.500 0.500 0.000
Pu 0.000 0.000 0.500
Pu 0.000 0.500 0.000
Pu 0.500 0.000 0.000
Pu 0.500 0.500 0.500
Hg 0.250 0.250 0.750
Hg 0.250 0.750 0.250
Hg 0.750 0.250 0.250
Hg 0.750 0.750 0.750
Pb 0.250 0.250 0.250
Pb 0.250 0.750 0.750
Pb 0.750 0.250 0.750
Pb 0.750 0.750 0.250